Computed powder diffractogram of Nb3VB4 for Cu Kα, 1.54184 Å, from the PBE geometry in Alexandria.

Atomic structure:
abc: 3.2766 4.7287 12.2540
angles: 90.00 90.00 90.00
Space group Immm (No. 71)
Asymmetric unit:
Nb 0.0000 0.0000 0.0000 [2 per cell]
Nb 0.0000 0.5000 0.1944 [4 per cell]
V 0.0000 0.0000 0.5000 [2 per cell]
B 0.0000 0.3174 0.3708 [8 per cell]

The 10 most intense peaks (2θ from 10° to 90°), in order of rising 2θ:
d/Å  Position (°2θ)  I_rel  h k l
3.091  28.9  44  0 1 3
3.063  29.2  11  0 0 4
2.466  36.4  100  1 1 2
2.364  38.1  26  0 2 0
2.042  44.4  10  0 0 6
1.963  46.3  19  1 0 5
1.638  56.1  11  2 0 0
1.510  61.4  12  1 2 5
1.384  67.7  15  1 3 2
1.331  70.8  15  1 1 8